# 1
Theoretical XRD peak list of TiCrAgS4 for Cu Kα X-rays, from a GGA-PBE-relaxed structure.

Main lines, low angle first (10 to 90 degrees two-theta):
2θ 20.97, rel. 66; 2θ 26.53, rel. 40; 2θ 27.49, rel. 64; 2θ 33.19, rel. 51; 2θ 34.15, rel. 100; 2θ 34.75, rel. 47; 2θ 35.85, rel. 55; 2θ 41.17, rel. 56; 2θ 41.82, rel. 56; 2θ 50.43, rel. 47

Atomic structure:
abc: 3.481 11.282 12.827
angles: 90.00 90.00 90.00
Atoms (fractional coordinates):
Ti1 0.000 0.168 0.000
Ti2 0.000 0.694 0.193
Ti3 0.500 0.306 0.693
Ti4 0.500 0.832 0.500
Cr1 0.000 0.197 0.476
Cr2 0.000 0.672 0.681
Cr3 0.500 0.328 0.181
Cr4 0.500 0.803 0.976
Ag1 0.000 0.012 0.280
Ag2 0.000 0.502 0.406
Ag3 0.500 0.498 0.906
Ag4 0.500 0.988 0.780
S1 0.000 0.159 0.658
S2 0.000 0.294 0.301
S3 0.000 0.369 0.054
S4 0.000 0.452 0.734
S5 0.000 0.661 0.013
S6 0.000 0.790 0.374
S7 0.000 0.873 0.628
S8 0.000 0.946 0.943
S9 0.500 0.054 0.443
S10 0.500 0.127 0.128
S11 0.500 0.210 0.874
S12 0.500 0.339 0.513
S13 0.500 0.548 0.234
S14 0.500 0.631 0.554
S15 0.500 0.706 0.801
S16 0.500 0.841 0.158

=====

# 2
Theoretical XRD peak list of TiCrAgS4 for Cu Kα X-rays, from a GGA-PBE-relaxed structure.

Main lines, low angle first (10 to 90 degrees two-theta):
2θ 21.07, rel. 100; 2θ 27.06, rel. 36; 2θ 27.42, rel. 24; 2θ 28.53, rel. 51; 2θ 29.26, rel. 29; 2θ 33.12, rel. 55; 2θ 33.31, rel. 25; 2θ 41.12, rel. 25; 2θ 47.27, rel. 27; 2θ 49.32, rel. 42

Atomic structure:
abc: 6.476 7.691 12.851
angles: 81.52 84.47 89.95
Atoms (fractional coordinates):
Ti1 0.000 0.000 0.000
Ti2 0.070 0.190 0.291
Ti3 0.371 0.605 0.710
Ti4 0.587 0.463 0.281
Cr1 0.466 0.792 0.996
Cr2 0.609 0.957 0.279
Cr3 0.856 0.851 0.712
Cr4 0.864 0.347 0.715
Ag1 0.100 0.710 0.299
Ag2 0.327 0.099 0.695
Ag3 0.477 0.276 0.994
Ag4 0.971 0.527 0.996
S1 0.031 0.612 0.657
S2 0.081 0.221 0.114
S3 0.136 0.758 0.098
S4 0.315 0.035 0.897
S5 0.347 0.577 0.887
S6 0.415 0.189 0.338
S7 0.456 0.690 0.357
S8 0.550 0.374 0.652
S9 0.552 0.856 0.638
S10 0.597 0.527 0.103
S11 0.628 0.979 0.099
S12 0.801 0.830 0.890
S13 0.855 0.285 0.885
S14 0.894 0.947 0.375
S15 0.902 0.423 0.354
S16 0.972 0.120 0.639

=====

# 3
Theoretical XRD peak list of TiCrAgS4 for Cu Kα X-rays, from a GGA-PBE-relaxed structure.

Main lines, low angle first (10 to 90 degrees two-theta):
2θ 14.93, rel. 88; 2θ 19.95, rel. 36; 2θ 20.47, rel. 33; 2θ 29.01, rel. 29; 2θ 29.71, rel. 53; 2θ 32.61, rel. 36; 2θ 40.51, rel. 100; 2θ 41.04, rel. 99; 2θ 52.46, rel. 26; 2θ 53.25, rel. 49

Atomic structure:
abc: 5.935 3.488 6.542
angles: 90.00 91.47 90.00
Atoms (fractional coordinates):
Ti1 0.000 0.000 0.000
Cr1 0.500 0.500 0.000
Ag1 0.500 0.500 0.500
S1 0.171 0.500 0.214
S2 0.333 0.000 0.789
S3 0.667 0.000 0.211
S4 0.829 0.500 0.786

=====

# 4
Theoretical XRD peak list of TiCrAgS4 for Cu Kα X-rays, from a GGA-PBE-relaxed structure.

Main lines, low angle first (10 to 90 degrees two-theta):
2θ 14.84, rel. 84; 2θ 19.47, rel. 47; 2θ 20.75, rel. 42; 2θ 29.18, rel. 33; 2θ 29.86, rel. 84; 2θ 32.48, rel. 41; 2θ 39.53, rel. 66; 2θ 40.14, rel. 47; 2θ 41.49, rel. 100; 2θ 53.09, rel. 52

Atomic structure:
abc: 5.981 6.922 6.569
angles: 90.00 93.64 90.00
Atoms (fractional coordinates):
Ti1 0.000 0.000 0.000
Ti2 0.500 0.284 0.000
Cr1 0.000 0.514 0.000
Cr2 0.500 0.772 0.000
Ag1 0.000 0.006 0.500
Ag2 0.000 0.507 0.500
S1 0.179 0.269 0.213
S2 0.188 0.762 0.213
S3 0.317 0.525 0.791
S4 0.324 0.018 0.790
S5 0.676 0.018 0.210
S6 0.683 0.525 0.209
S7 0.812 0.762 0.787
S8 0.821 0.269 0.787

=====

# 5
Theoretical XRD peak list of TiCrAgS4 for Cu Kα X-rays, from a GGA-PBE-relaxed structure.

Main lines, low angle first (10 to 90 degrees two-theta):
2θ 16.04, rel. 47; 2θ 25.95, rel. 100; 2θ 29.51, rel. 32; 2θ 29.95, rel. 43; 2θ 32.07, rel. 32; 2θ 36.73, rel. 40; 2θ 38.62, rel. 30; 2θ 42.14, rel. 47; 2θ 46.45, rel. 31; 2θ 51.35, rel. 28

Atomic structure:
abc: 11.781 7.193 12.677
angles: 90.00 90.00 90.00
Atoms (fractional coordinates):
Ti1 0.082 0.059 0.000
Ti2 0.117 0.681 0.650
Ti3 0.383 0.681 0.150
Ti4 0.418 0.059 0.500
Ti5 0.582 0.941 0.000
Ti6 0.617 0.319 0.650
Ti7 0.883 0.319 0.150
Ti8 0.918 0.941 0.500
Cr1 0.151 0.436 0.381
Cr2 0.161 0.936 0.391
Cr3 0.339 0.936 0.891
Cr4 0.349 0.436 0.881
Cr5 0.651 0.564 0.381
Cr6 0.661 0.064 0.391
Cr7 0.839 0.064 0.891
Cr8 0.849 0.564 0.881
Ag1 0.104 0.247 0.688
Ag2 0.109 0.659 0.064
Ag3 0.391 0.659 0.564
Ag4 0.396 0.247 0.188
Ag5 0.604 0.753 0.688
Ag6 0.609 0.341 0.064
Ag7 0.891 0.341 0.564
Ag8 0.896 0.753 0.188
S1 0.016 0.047 0.172
S2 0.022 0.172 0.421
S3 0.033 0.478 0.224
S4 0.037 0.689 0.457
S5 0.218 0.184 0.852
S6 0.220 0.441 0.557
S7 0.237 0.691 0.808
S8 0.241 0.936 0.556
S9 0.259 0.936 0.056
S10 0.263 0.691 0.308
S11 0.280 0.441 0.057
S12 0.282 0.184 0.352
S13 0.463 0.689 0.957
S14 0.467 0.478 0.724
S15 0.478 0.172 0.921
S16 0.484 0.047 0.672
S17 0.516 0.953 0.172
S18 0.522 0.828 0.421
S19 0.533 0.522 0.224
S20 0.537 0.311 0.457
S21 0.718 0.816 0.852
S22 0.720 0.559 0.557
S23 0.737 0.309 0.808
S24 0.741 0.064 0.556
S25 0.759 0.064 0.056
S26 0.763 0.309 0.308
S27 0.780 0.559 0.057
S28 0.782 0.816 0.352
S29 0.963 0.311 0.957
S30 0.967 0.522 0.724
S31 0.978 0.828 0.921
S32 0.984 0.953 0.672

=====

# 6
Theoretical XRD peak list of TiCrAgS4 for Cu Kα X-rays, from a GGA-PBE-relaxed structure.

Main lines, low angle first (10 to 90 degrees two-theta):
2θ 20.75, rel. 100; 2θ 27.29, rel. 34; 2θ 27.55, rel. 38; 2θ 28.78, rel. 52; 2θ 28.93, rel. 29; 2θ 32.96, rel. 55; 2θ 47.85, rel. 24; 2θ 48.38, rel. 45; 2θ 48.66, rel. 24; 2θ 48.79, rel. 24

Atomic structure:
abc: 6.496 7.604 13.009
angles: 98.20 94.21 90.09
Atoms (fractional coordinates):
Ti1 0.000 0.000 0.000
Ti2 0.090 0.196 0.712
Ti3 0.214 0.849 0.430
Ti4 0.618 0.399 0.715
Cr1 0.221 0.353 0.428
Cr2 0.485 0.740 0.994
Cr3 0.486 0.244 0.001
Cr4 0.693 0.595 0.436
Ag1 0.111 0.660 0.715
Ag2 0.603 0.932 0.714
Ag3 0.735 0.101 0.410
Ag4 0.959 0.478 0.017
S1 0.020 0.584 0.378
S2 0.090 0.080 0.350
S3 0.171 0.763 0.057
S4 0.184 0.244 0.080
S5 0.229 0.913 0.607
S6 0.281 0.367 0.605
S7 0.433 0.229 0.823
S8 0.483 0.682 0.824
S9 0.525 0.356 0.359
S10 0.534 0.816 0.366
S11 0.603 0.515 0.070
S12 0.660 0.002 0.053
S13 0.727 0.626 0.607
S14 0.774 0.163 0.610
S15 0.939 0.431 0.817
S16 0.985 0.971 0.825

=====

# 7
Theoretical XRD peak list of TiCrAgS4 for Cu Kα X-rays, from a GGA-PBE-relaxed structure.

Main lines, low angle first (10 to 90 degrees two-theta):
2θ 14.21, rel. 38; 2θ 15.93, rel. 38; 2θ 20.55, rel. 31; 2θ 26.06, rel. 91; 2θ 26.45, rel. 100; 2θ 32.29, rel. 34; 2θ 32.72, rel. 38; 2θ 36.41, rel. 44; 2θ 36.60, rel. 36; 2θ 37.69, rel. 34

Atomic structure:
abc: 7.172 11.772 12.479
angles: 90.85 92.24 90.83
Atoms (fractional coordinates):
Ti1 0.000 0.000 0.000
Ti2 0.014 0.261 0.505
Ti3 0.280 0.482 0.649
Ti4 0.300 0.021 0.285
Ti5 0.413 0.276 0.150
Ti6 0.434 0.986 0.640
Ti7 0.581 0.468 0.947
Ti8 0.721 0.737 0.499
Cr1 0.219 0.751 0.142
Cr2 0.278 0.235 0.778
Cr3 0.442 0.533 0.240
Cr4 0.455 0.733 0.739
Cr5 0.775 0.014 0.265
Cr6 0.783 0.238 0.773
Cr7 0.931 0.522 0.258
Cr8 0.967 0.713 0.904
Ag1 0.119 0.796 0.447
Ag2 0.125 0.489 0.947
Ag3 0.490 0.990 0.970
Ag4 0.593 0.292 0.467
Ag5 0.705 0.773 0.082
Ag6 0.709 0.497 0.605
Ag7 0.993 0.259 0.104
Ag8 0.998 0.992 0.597
S1 0.028 0.120 0.841
S2 0.029 0.357 0.695
S3 0.033 0.913 0.189
S4 0.034 0.133 0.348
S5 0.194 0.620 0.795
S6 0.197 0.644 0.302
S7 0.201 0.391 0.226
S8 0.212 0.839 0.973
S9 0.228 0.872 0.715
S10 0.265 0.155 0.606
S11 0.269 0.107 0.095
S12 0.295 0.392 0.487
S13 0.347 0.326 0.959
S14 0.374 0.944 0.454
S15 0.435 0.646 0.574
S16 0.440 0.616 0.077
S17 0.501 0.887 0.208
S18 0.517 0.384 0.749
S19 0.529 0.109 0.804
S20 0.541 0.164 0.301
S21 0.664 0.415 0.152
S22 0.681 0.855 0.665
S23 0.684 0.621 0.835
S24 0.685 0.635 0.323
S25 0.764 0.096 0.093
S26 0.766 0.161 0.595
S27 0.786 0.875 0.912
S28 0.816 0.905 0.424
S29 0.834 0.352 0.933
S30 0.873 0.403 0.411
S31 0.962 0.640 0.560
S32 0.972 0.628 0.085

=====

# 8
Theoretical XRD peak list of TiCrAgS4 for Cu Kα X-rays, from a GGA-PBE-relaxed structure.

Main lines, low angle first (10 to 90 degrees two-theta):
2θ 24.50, rel. 100; 2θ 28.54, rel. 61; 2θ 28.77, rel. 51; 2θ 28.93, rel. 58; 2θ 43.13, rel. 22; 2θ 45.47, rel. 25; 2θ 45.72, rel. 31; 2θ 46.16, rel. 21; 2θ 49.50, rel. 21; 2θ 50.22, rel. 93

Atomic structure:
abc: 7.263 7.263 7.366
angles: 120.37 120.37 60.00
Atoms (fractional coordinates):
Ti1 0.243 0.243 0.487
Ti2 0.757 0.757 0.513
Cr1 0.781 0.219 0.500
Cr2 0.782 0.218 0.000
Ag1 0.169 0.588 0.127
Ag2 0.412 0.831 0.873
S1 0.007 0.468 0.258
S2 0.010 0.007 0.259
S3 0.010 0.466 0.714
S4 0.532 0.993 0.742
S5 0.534 0.990 0.286
S6 0.550 0.418 0.734
S7 0.582 0.450 0.266
S8 0.993 0.990 0.741

=====

# 9
Theoretical XRD peak list of TiCrAgS4 for Cu Kα X-rays, from a GGA-PBE-relaxed structure.

Main lines, low angle first (10 to 90 degrees two-theta):
2θ 24.18, rel. 17; 2θ 24.52, rel. 100; 2θ 28.57, rel. 61; 2θ 28.84, rel. 81; 2θ 28.97, rel. 29; 2θ 45.52, rel. 28; 2θ 45.80, rel. 31; 2θ 46.12, rel. 30; 2θ 49.52, rel. 21; 2θ 50.24, rel. 77

Atomic structure:
abc: 7.265 7.265 7.265
angles: 119.11 90.63 120.17
Atoms (fractional coordinates):
Ti1 0.243 0.250 0.493
Ti2 0.757 0.750 0.507
Cr1 0.780 0.280 0.500
Cr2 0.780 0.780 0.000
Ag1 0.166 0.538 0.128
Ag2 0.411 0.038 0.872
S1 0.006 0.246 0.715
S2 0.006 0.791 0.260
S3 0.009 0.250 0.259
S4 0.531 0.291 0.285
S5 0.531 0.746 0.740
S6 0.548 0.314 0.734
S7 0.580 0.814 0.266
S8 0.991 0.750 0.741

=====

Repeat the third record exactly.
Theoretical XRD peak list of TiCrAgS4 for Cu Kα X-rays, from a GGA-PBE-relaxed structure.

Main lines, low angle first (10 to 90 degrees two-theta):
2θ 14.93, rel. 88; 2θ 19.95, rel. 36; 2θ 20.47, rel. 33; 2θ 29.01, rel. 29; 2θ 29.71, rel. 53; 2θ 32.61, rel. 36; 2θ 40.51, rel. 100; 2θ 41.04, rel. 99; 2θ 52.46, rel. 26; 2θ 53.25, rel. 49

Atomic structure:
abc: 5.935 3.488 6.542
angles: 90.00 91.47 90.00
Atoms (fractional coordinates):
Ti1 0.000 0.000 0.000
Cr1 0.500 0.500 0.000
Ag1 0.500 0.500 0.500
S1 0.171 0.500 0.214
S2 0.333 0.000 0.789
S3 0.667 0.000 0.211
S4 0.829 0.500 0.786

=====

Q: What is the formula in the fourth record?
A: TiCrAgS4